Diffraction record for LaPr4. The X-ray diffraction stick pattern is simulated, not measured: it uses the PBE geometry in Alexandria and Cu Ka.
No peak broadening, texture or thermal motion is included.

Atomic structure:
Cell: 3.726 5.271 18.579 Å, 90.00 90.00 90.00°
Positions (direct):
La 0.000 0.000 0.000
La 0.500 0.500 0.500
Pr 0.000 0.000 0.200
Pr 0.000 0.000 0.399
Pr 0.000 0.000 0.601
Pr 0.000 0.000 0.800
Pr 0.500 0.500 0.101
Pr 0.500 0.500 0.300
Pr 0.500 0.500 0.700
Pr 0.500 0.500 0.899

Main lines, by angle (10 to 90 degrees two-theta):
2θ 29.38, I = 100
2θ 34.06, I = 51
2θ 48.91, I = 30
2θ 49.03, I = 6
2θ 58.07, I = 29
2θ 58.18, I = 14
2θ 60.90, I = 6
2θ 61.02, I = 6
2θ 79.29, I = 15
2θ 81.74, I = 8